This entry pairs a crystal structure of YHfMg6O8 with its theoretical powder diffraction line list. Radiation: copper Kα. Structure: DFT lattice parameters and positions (GGA-PBE).
No peak broadening, texture or thermal motion is included.

Atomic structure:
```
YHfMg6O8
1.0
4.487 0.000 0.000
0.000 4.487 0.000
0.000 0.000 9.000
Y Hf Mg O
1 1 6 8
Direct
0.000 0.000 0.000
0.000 0.000 0.500
0.000 0.500 0.255
0.000 0.500 0.745
0.500 0.000 0.255
0.500 0.000 0.745
0.500 0.500 0.000
0.500 0.500 0.500
0.000 0.000 0.255
0.000 0.000 0.745
0.000 0.500 0.000
0.000 0.500 0.500
0.500 0.000 0.000
0.500 0.000 0.500
0.500 0.500 0.248
0.500 0.500 0.752
```

The 10 most intense peaks (2θ = 10–80°), by intensity:
hkl 0 0 2, 19.8 deg, rel. 100; hkl 1 1 0, 28.1 deg, rel. 85; hkl 2 0 0, 40.2 deg, rel. 71; hkl 2 2 0, 58.1 deg, rel. 66; hkl 1 1 2, 34.6 deg, rel. 59; hkl 1 1 4, 49.7 deg, rel. 36; hkl 0 0 4, 40.1 deg, rel. 36; hkl 2 0 2, 45.1 deg, rel. 32; hkl 2 2 2, 62.0 deg, rel. 22; hkl 2 2 4, 73.0 deg, rel. 21